Entry 1:
Structure and computed XRD peak list of Y5As4O (a crystal structure in Alexandria, relaxed with PBE; a wavelength of 1.5418 Å).
Lines closer than 0.1° are merged.

Top 10 peaks for 2θ = 5–70°, most intense first:
two_theta  Rel. int.
31.6  100
44.8  70
30.9  49
45.3  34
55.9  34
27.1  11
66.1  10
64.3  5
18.2  4
39.5  3

Structural model:
```
10
Lattice="-4.4721 4.4721 2.8972 4.4721 -4.4721 2.8972 4.4721 4.4721 -2.8972" Properties=species:S:1:pos:R:3 pbc="T T T"
Y 0.0000 0.0000 0.0000
Y 3.5977 1.9042 -0.3881
Y 2.5679 -0.8744 2.5090
Y 1.9042 5.3465 -0.3881
Y 0.8744 2.5679 2.5090
As 6.2600 0.8479 -0.3881
As 0.8479 2.6843 -0.3881
As 3.6243 1.7878 2.5090
As -1.7878 3.6243 2.5090
O 0.0000 0.0000 2.1975
```

***

Entry 2:
Structure and computed XRD peak list of AcTbSm6Y2 (a crystal structure in Alexandria, relaxed with PBE; a wavelength of 1.5418 Å).
Lines closer than 0.1° are merged.

Top 10 peaks for 2θ = 5–70°, most intense first:
two_theta  Rel. int.
30.0  100
29.7  71
30.2  69
27.7  64
30.7  61
31.0  58
33.7  44
34.5  31
27.9  29
31.9  29

Structural model:
```
20
Lattice="4.7380 -7.6491 0.0000 4.7380 7.6491 0.0000 -0.8301 0.0000 9.6191" Properties=species:S:1:pos:R:3 pbc="T T T"
Ac 4.1154 7.1157 7.2144
Ac 4.5304 -7.1157 2.4048
Tb 4.5304 1.3584 2.4048
Tb 4.1154 -1.3584 7.2144
Sm 2.0704 4.1557 6.5476
Sm 4.0882 4.8685 0.5481
Sm 4.9726 4.8685 4.2614
Sm 3.1081 1.7432 8.4970
Sm 6.1603 4.1557 7.8811
Sm 5.1226 1.7432 5.9317
Sm 3.5232 -1.7432 3.6874
Sm 2.4855 -4.1557 1.7381
Sm 5.5377 -1.7432 1.1222
Sm 3.6732 -4.8685 5.3577
Sm 4.5576 -4.8685 9.0710
Sm 6.5754 -4.1557 3.0715
Y 1.9893 0.7910 5.2971
Y 2.4044 -0.7910 0.4876
Y 6.2414 0.7910 9.1316
Y 6.6565 -0.7910 4.3220
```